# 1
Structure and calculated powder XRD pattern of KNa4Cu3Cl12 (a cell relaxed with PBE; Cu Kα, 1.54184 Å).
Kinematic intensities with the Lorentz-polarization factor, no thermal factor.

Atomic structure:
Cell: 9.989 9.989 9.989 Å, 90.00 90.00 90.00°
Space group Im-3 (No. 204)
Inequivalent atoms, fractional coordinates:
K  0.000  0.000  0.000 [2 per cell]
Na  0.250  0.250  0.250 [8 per cell]
Cu  0.000  0.000  0.500 [6 per cell]
Cl  0.000  0.336  0.157 [24 per cell]

Principal peaks in the range 10° ≤ 2θ ≤ 80°, by angle:
| index | 2θ (°) | d_spacing | I/Imax |
| --- | --- | --- | --- |
| 1 1 0 | 12.5 | 7.063 | 26 |
| 2 0 0 | 17.8 | 4.994 | 42 |
| 2 2 0 | 25.2 | 3.531 | 74 |
| 3 0 1 | 28.3 | 3.159 | 94 |
| 2 2 2 | 31.0 | 2.883 | 25 |
| 3 1 2 | 33.6 | 2.670 | 26 |
| 4 0 0 | 36.0 | 2.497 | 23 |
| 4 2 2 | 44.4 | 2.039 | 100 |
| 6 0 0 | 55.2 | 1.665 | 38 |
| 6 0 2 | 58.4 | 1.579 | 27 |



# 2
Structure and calculated powder XRD pattern of KNaCuCl3 (a cell relaxed with PBE; Cu Kα, 1.54184 Å).
Kinematic intensities with the Lorentz-polarization factor, no thermal factor.

Atomic structure:
Cell: 4.049 13.651 10.774 Å, 90.00 90.00 90.00°
Space group Cmcm (No. 63)
Inequivalent atoms, fractional coordinates:
K  0.000  0.247  0.250 [4 per cell]
Na  0.000  0.500  0.000 [4 per cell]
Cu  0.000  0.035  0.750 [4 per cell]
Cl  0.000  0.131  0.574 [8 per cell]
Cl  0.000  0.437  0.750 [4 per cell]

Principal peaks in the range 10° ≤ 2θ ≤ 80°, by angle:
| index | 2θ (°) | d_spacing | I/Imax |
| --- | --- | --- | --- |
| 0 2 0 | 13.0 | 6.826 | 45 |
| 0 0 2 | 16.5 | 5.387 | 38 |
| 1 1 0 | 22.9 | 3.882 | 20 |
| 1 3 1 | 30.7 | 2.912 | 100 |
| 0 4 2 | 31.0 | 2.883 | 28 |
| 0 0 4 | 33.3 | 2.693 | 24 |
| 1 3 2 | 34.0 | 2.637 | 54 |
| 2 0 0 | 44.8 | 2.025 | 25 |
| 1 5 3 | 47.5 | 1.915 | 18 |
| 1 3 5 | 52.1 | 1.755 | 25 |



# 3
Structure and calculated powder XRD pattern of KNaCu2Cl5 (a cell relaxed with PBE; Cu Kα, 1.54184 Å).
Kinematic intensities with the Lorentz-polarization factor, no thermal factor.

Atomic structure:
Cell: 4.688 4.688 9.454 Å, 90.00 90.00 90.00°
Space group P4/mmm (No. 123)
Inequivalent atoms, fractional coordinates:
K  0.000  0.000  0.000 [1 per cell]
Na  0.000  0.000  0.500 [1 per cell]
Cu  0.500  0.500  0.264 [2 per cell]
Cl  0.000  0.500  0.305 [4 per cell]
Cl  0.500  0.500  0.000 [1 per cell]

Principal peaks in the range 10° ≤ 2θ ≤ 80°, by angle:
| index | 2θ (°) | d_spacing | I/Imax |
| --- | --- | --- | --- |
| 0 0 2 | 18.8 | 4.727 | 48 |
| 1 0 0 | 18.9 | 4.688 | 51 |
| 1 0 2 | 26.8 | 3.328 | 100 |
| 0 0 3 | 28.3 | 3.151 | 37 |
| 2 0 0 | 38.4 | 2.344 | 98 |
| 2 0 2 | 43.1 | 2.099 | 32 |
| 1 1 4 | 47.2 | 1.924 | 30 |
| 2 1 2 | 47.4 | 1.916 | 40 |
| 2 0 4 | 55.2 | 1.664 | 28 |
| 2 2 0 | 55.4 | 1.657 | 30 |